[1]
# MnSeO4
Theoretical powder diffractogram, Cu Ka. Input: DFT lattice parameters and positions (GGA+U).
Kinematic intensities with the Lorentz-polarization factor, no thermal factor.

Largest 10 diffraction maxima, in order of rising 2θ, 2θ = 10–90°:
2θ 22.77, 3.906 Å, rel. 40; 2θ 23.54, 3.779 Å, rel. 100; 2θ 31.69, 2.823 Å, rel. 38; 2θ 32.27, 2.774 Å, rel. 28; 2θ 33.68, 2.661 Å, rel. 44; 2θ 35.30, 2.543 Å, rel. 15; 2θ 43.38, 2.086 Å, rel. 14; 2θ 48.16, 1.889 Å, rel. 22; 2θ 58.64, 1.574 Å, rel. 19; 2θ 63.10, 1.473 Å, rel. 12

Lattice parameters (Å, degrees): 9.3669 7.0766 5.0853 90.00 90.00 90.00
Atoms (fractional coordinates):
Mn 0.0000 0.0000 0.0000
Mn 0.0000 0.5000 0.0000
Mn 0.5000 0.0000 0.5000
Mn 0.5000 0.5000 0.5000
Se 0.1806 0.2500 0.4741
Se 0.3194 0.7500 0.9741
Se 0.6806 0.2500 0.0259
Se 0.8194 0.7500 0.5259
O 0.1210 0.2500 0.7883
O 0.1254 0.0530 0.3252
O 0.1254 0.4470 0.3252
O 0.1369 0.7500 0.9495
O 0.3631 0.2500 0.4495
O 0.3746 0.5530 0.8252
O 0.3746 0.9470 0.8252
O 0.3790 0.7500 0.2883
O 0.6210 0.2500 0.7117
O 0.6254 0.0530 0.1748
O 0.6254 0.4470 0.1748
O 0.6369 0.7500 0.5505
O 0.8631 0.2500 0.0505
O 0.8746 0.5530 0.6748
O 0.8746 0.9470 0.6748
O 0.8790 0.7500 0.2117

[2]
# Zn3Ni7O10
Theoretical powder diffractogram, Cu Ka. Input: DFT lattice parameters and positions (GGA+U).
Kinematic intensities with the Lorentz-polarization factor, no thermal factor.

Largest 8 diffraction maxima, in order of rising 2θ, 2θ = 10–90°:
2θ 36.60, 2.455 Å, rel. 77; 2θ 42.52, 2.126 Å, rel. 100; 2θ 61.63, 1.505 Å, rel. 29; 2θ 61.76, 1.502 Å, rel. 29; 2θ 73.89, 1.283 Å, rel. 22; 2θ 74.03, 1.281 Å, rel. 7; 2θ 77.75, 1.228 Å, rel. 14; 2θ 77.99, 1.225 Å, rel. 4

Lattice parameters (Å, degrees): 24.5646 24.5646 24.5646 7.02 7.02 7.02
Atoms (fractional coordinates):
Zn 0.0000 0.0000 0.0000
Zn 0.1001 0.1001 0.1001
Zn 0.8999 0.8999 0.8999
Ni 0.1996 0.1996 0.1996
Ni 0.2998 0.2998 0.2998
Ni 0.3998 0.3998 0.3998
Ni 0.5000 0.5000 0.5000
Ni 0.6002 0.6002 0.6002
Ni 0.7002 0.7002 0.7002
Ni 0.8004 0.8004 0.8004
O 0.0500 0.0500 0.0500
O 0.1502 0.1502 0.1502
O 0.2505 0.2505 0.2505
O 0.3505 0.3505 0.3505
O 0.4506 0.4506 0.4506
O 0.5494 0.5494 0.5494
O 0.6495 0.6495 0.6495
O 0.7495 0.7495 0.7495
O 0.8498 0.8498 0.8498
O 0.9500 0.9500 0.9500

[3]
# CrOF
Theoretical powder diffractogram, Cu Ka. Input: DFT lattice parameters and positions (GGA+U).
Kinematic intensities with the Lorentz-polarization factor, no thermal factor.

Largest 10 diffraction maxima, in order of rising 2θ, 2θ = 10–90°:
2θ 13.04, 6.787 Å, rel. 100; 2θ 26.10, 3.414 Å, rel. 47; 2θ 32.19, 2.780 Å, rel. 8; 2θ 34.86, 2.574 Å, rel. 6; 2θ 39.64, 2.274 Å, rel. 10; 2θ 39.75, 2.267 Å, rel. 37; 2θ 45.95, 1.975 Å, rel. 14; 2θ 50.22, 1.817 Å, rel. 8; 2θ 55.69, 1.650 Å, rel. 15; 2θ 62.35, 1.489 Å, rel. 16

Lattice parameters (Å, degrees): 3.0480 3.9499 6.7869 90.00 90.00 90.00
Atoms (fractional coordinates):
Cr 0.2500 0.2500 0.1296
Cr 0.7500 0.7500 0.8704
O 0.2500 0.7500 0.0676
O 0.7500 0.2500 0.9324
F 0.2500 0.7500 0.6849
F 0.7500 0.2500 0.3151

[4]
# Li9Mn2Co5O16
Theoretical powder diffractogram, Cu Ka. Input: DFT lattice parameters and positions (GGA+U).
Kinematic intensities with the Lorentz-polarization factor, no thermal factor.

Largest 10 diffraction maxima, in order of rising 2θ, 2θ = 10–90°:
2θ 18.33, 4.840 Å, rel. 100; 2θ 34.31, 2.614 Å, rel. 20; 2θ 36.13, 2.486 Å, rel. 13; 2θ 36.89, 2.437 Å, rel. 11; 2θ 41.21, 2.191 Å, rel. 34; 2θ 43.91, 2.062 Å, rel. 27; 2θ 45.01, 2.014 Å, rel. 25; 2θ 61.56, 1.507 Å, rel. 8; 2θ 62.01, 1.497 Å, rel. 8; 2θ 64.00, 1.455 Å, rel. 9

Lattice parameters (Å, degrees): 3.0188 6.4224 15.4711 88.79 86.47 76.60
Atoms (fractional coordinates):
Li 0.0000 0.0000 0.0000
Li 0.0490 0.8881 0.1871
Li 0.1040 0.7665 0.3732
Li 0.2378 0.5120 0.7489
Li 0.3708 0.2579 0.1276
Li 0.4818 0.0173 0.4968
Li 0.6118 0.7647 0.8752
Li 0.7330 0.5158 0.2464
Li 0.8660 0.2589 0.6229
Mn 0.1921 0.6350 0.5589
Mn 0.2873 0.3879 0.9389
Co 0.4220 0.1271 0.3064
Co 0.5581 0.8887 0.6863
Co 0.6789 0.6473 0.0684
Co 0.8010 0.3836 0.4336
Co 0.9170 0.1355 0.8113
O 0.0589 0.9345 0.5956
O 0.0621 0.8407 0.7774
O 0.1227 0.6845 0.9724
O 0.2357 0.5807 0.1481
O 0.2480 0.4233 0.3453
O 0.3635 0.3349 0.5243
O 0.4133 0.1832 0.7200
O 0.4160 0.0901 0.9016
O 0.5307 0.9205 0.0881
O 0.5666 0.8538 0.2856
O 0.6281 0.6814 0.4667
O 0.7286 0.4354 0.8443
O 0.7514 0.5885 0.6531
O 0.8452 0.3484 0.0313
O 0.8582 0.1950 0.2266
O 0.9698 0.0933 0.3997

[5]
# Co3O2F4
Theoretical powder diffractogram, Cu Ka. Input: DFT lattice parameters and positions (GGA+U).
Kinematic intensities with the Lorentz-polarization factor, no thermal factor.

Largest 10 diffraction maxima, in order of rising 2θ, 2θ = 10–90°:
2θ 27.11, 3.289 Å, rel. 100; 2θ 34.46, 2.602 Å, rel. 61; 2θ 38.72, 2.326 Å, rel. 9; 2θ 39.68, 2.271 Å, rel. 18; 2θ 52.76, 1.735 Å, rel. 45; 2θ 52.87, 1.732 Å, rel. 17; 2θ 55.85, 1.646 Å, rel. 10; 2θ 58.82, 1.570 Å, rel. 10; 2θ 63.21, 1.471 Å, rel. 9; 2θ 67.34, 1.391 Å, rel. 15

Lattice parameters (Å, degrees): 4.6521 5.6083 7.8199 92.53 90.00 90.15
Atoms (fractional coordinates):
Co 0.0000 0.0000 0.0000
Co 0.0037 0.3401 0.3489
Co 0.4535 0.1758 0.6765
Co 0.5000 0.5000 0.0000
Co 0.5465 0.8242 0.3235
Co 0.9963 0.6599 0.6511
O 0.2009 0.3630 0.5726
O 0.2893 0.1958 0.9082
O 0.7107 0.8042 0.0918
O 0.7991 0.6370 0.4274
F 0.1965 0.7013 0.8894
F 0.2133 0.0279 0.2411
F 0.3042 0.5426 0.2306
F 0.3091 0.8691 0.5623
F 0.6909 0.1309 0.4377
F 0.6958 0.4574 0.7694
F 0.7867 0.9721 0.7589
F 0.8035 0.2987 0.1106

[6]
# FeB4O7
Theoretical powder diffractogram, Cu Ka. Input: DFT lattice parameters and positions (GGA+U).
Kinematic intensities with the Lorentz-polarization factor, no thermal factor.

Largest 10 diffraction maxima, in order of rising 2θ, 2θ = 10–90°:
2θ 23.11, 3.849 Å, rel. 40; 2θ 26.80, 3.326 Å, rel. 28; 2θ 31.49, 2.841 Å, rel. 94; 2θ 32.85, 2.727 Å, rel. 100; 2θ 37.85, 2.377 Å, rel. 44; 2θ 38.13, 2.360 Å, rel. 28; 2θ 45.17, 2.007 Å, rel. 30; 2θ 47.10, 1.929 Å, rel. 27; 2θ 47.22, 1.925 Å, rel. 31; 2θ 48.15, 1.890 Å, rel. 67

Lattice parameters (Å, degrees): 6.3873 8.2696 8.2697 78.52 69.19 69.19
Atoms (fractional coordinates):
Fe 0.2210 0.2642 0.0145
Fe 0.2235 0.7637 0.5135
Fe 0.7765 0.2363 0.4865
Fe 0.7790 0.7358 0.9855
B 0.0827 0.4651 0.7148
B 0.0829 0.9648 0.2150
B 0.2948 0.1476 0.6474
B 0.2950 0.3970 0.3973
B 0.2952 0.6472 0.1471
B 0.2951 0.8975 0.8975
B 0.3193 0.0837 0.3338
B 0.3197 0.5839 0.8338
B 0.6803 0.4161 0.1662
B 0.6807 0.9163 0.6662
B 0.7049 0.1025 0.1025
B 0.7048 0.3528 0.8529
B 0.7050 0.6030 0.6027
B 0.7052 0.8524 0.3526
B 0.9171 0.0352 0.7850
B 0.9173 0.5349 0.2852
O 0.0908 0.0788 0.3292
O 0.0912 0.5794 0.8290
O 0.1905 0.2858 0.7622
O 0.1907 0.0121 0.0356
O 0.1909 0.4968 0.2470
O 0.1905 0.5123 0.5351
O 0.1907 0.7851 0.2622
O 0.1908 0.9972 0.7471
O 0.2438 0.2204 0.4704
O 0.2439 0.7204 0.9704
O 0.4515 0.1432 0.1666
O 0.4514 0.4168 0.8935
O 0.4514 0.6436 0.6668
O 0.4515 0.9168 0.3933
O 0.5485 0.0832 0.6067
O 0.5486 0.3564 0.3332
O 0.5486 0.5832 0.1065
O 0.5485 0.8568 0.8334
O 0.7561 0.2796 0.0296
O 0.7562 0.7796 0.5296
O 0.8092 0.0028 0.2529
O 0.8093 0.2149 0.7378
O 0.8095 0.4877 0.4649
O 0.8091 0.5032 0.7530
O 0.8093 0.9879 0.9644
O 0.8095 0.7142 0.2378
O 0.9088 0.4206 0.1710
O 0.9092 0.9212 0.6708

[7]
# VOF
Theoretical powder diffractogram, Cu Ka. Input: DFT lattice parameters and positions (GGA+U).
Kinematic intensities with the Lorentz-polarization factor, no thermal factor.

Largest 10 diffraction maxima, in order of rising 2θ, 2θ = 10–90°:
2θ 26.57, 3.354 Å, rel. 100; 2θ 34.54, 2.597 Å, rel. 50; 2θ 39.56, 2.278 Å, rel. 24; 2θ 50.02, 1.824 Å, rel. 8; 2θ 52.18, 1.753 Å, rel. 24; 2θ 52.28, 1.750 Å, rel. 31; 2θ 54.73, 1.677 Å, rel. 16; 2θ 59.58, 1.552 Å, rel. 11; 2θ 66.38, 1.408 Å, rel. 12; 2θ 66.48, 1.406 Å, rel. 13

Lattice parameters (Å, degrees): 3.1036 4.7542 14.1999 90.00 90.00 90.00
Atoms (fractional coordinates):
V 0.0000 0.1732 0.0000
V 0.0000 0.2686 0.3342
V 0.0000 0.2722 0.6675
V 0.5000 0.7278 0.1675
V 0.5000 0.7314 0.8342
V 0.5000 0.8268 0.5000
O 0.0000 0.5464 0.2347
O 0.0000 0.9182 0.1024
O 0.0000 0.9855 0.4324
O 0.5000 0.0145 0.9324
O 0.5000 0.0818 0.6024
O 0.5000 0.4536 0.7347
F 0.0000 0.5248 0.9021
F 0.0000 0.5843 0.5630
F 0.0000 0.9411 0.7689
F 0.5000 0.0589 0.2689
F 0.5000 0.4157 0.0630
F 0.5000 0.4752 0.4021

[8]
# Li4MnNb2WO12
Theoretical powder diffractogram, Cu Ka. Input: DFT lattice parameters and positions (GGA+U).
Kinematic intensities with the Lorentz-polarization factor, no thermal factor.

Largest 10 diffraction maxima, in order of rising 2θ, 2θ = 10–90°:
2θ 11.80, 7.499 Å, rel. 11; 2θ 23.74, 3.748 Å, rel. 100; 2θ 32.88, 2.724 Å, rel. 37; 2θ 34.74, 2.582 Å, rel. 24; 2θ 42.51, 2.127 Å, rel. 12; 2θ 48.54, 1.875 Å, rel. 12; 2θ 53.47, 1.714 Å, rel. 22; 2θ 55.98, 1.643 Å, rel. 9; 2θ 61.10, 1.517 Å, rel. 14; 2θ 62.27, 1.491 Å, rel. 11

Lattice parameters (Å, degrees): 5.1643 5.4635 7.5224 94.47 90.02 90.13
Atoms (fractional coordinates):
Li 0.0000 0.0000 0.0000
Li 0.0024 0.9836 0.4602
Li 0.5016 0.5122 0.0009
Li 0.5101 0.5645 0.4296
Mn 0.0038 0.5763 0.1896
Nb 0.0021 0.5511 0.6915
Nb 0.5082 0.0781 0.2015
W 0.5068 0.0653 0.6989
O 0.1176 0.5883 0.9364
O 0.1942 0.8853 0.2390
O 0.1948 0.2595 0.6206
O 0.3077 0.3961 0.2349
O 0.3225 0.7765 0.6224
O 0.3764 0.0847 0.9307
O 0.6278 0.0935 0.4488
O 0.6756 0.3955 0.7481
O 0.7094 0.7827 0.1278
O 0.8036 0.2886 0.1268
O 0.8165 0.9058 0.7477
O 0.8942 0.6011 0.4366

[9]
# Al2Fe3O9
Theoretical powder diffractogram, Cu Ka. Input: DFT lattice parameters and positions (GGA+U).
Kinematic intensities with the Lorentz-polarization factor, no thermal factor.

Largest 10 diffraction maxima, in order of rising 2θ, 2θ = 10–90°:
2θ 11.75, 7.533 Å, rel. 100; 2θ 17.66, 5.022 Å, rel. 9; 2θ 23.62, 3.767 Å, rel. 42; 2θ 34.55, 2.596 Å, rel. 9; 2θ 34.89, 2.571 Å, rel. 9; 2θ 35.01, 2.563 Å, rel. 19; 2θ 40.26, 2.240 Å, rel. 18; 2θ 41.95, 2.153 Å, rel. 9; 2θ 48.61, 1.873 Å, rel. 10; 2θ 58.95, 1.567 Å, rel. 17

Lattice parameters (Å, degrees): 5.4930 5.4930 15.0779 91.10 91.10 121.14
Atoms (fractional coordinates):
Al 0.0056 0.3333 0.1916
Al 0.3333 0.0056 0.1916
Al 0.6667 0.9944 0.8084
Al 0.9944 0.6667 0.8084
Fe 0.0000 0.0000 0.0000
Fe 0.0000 0.0000 0.5000
Fe 0.3333 0.6667 0.5000
Fe 0.3389 0.6610 0.0000
Fe 0.6610 0.3389 0.0000
Fe 0.6667 0.3333 0.5000
O 0.0022 0.3378 0.0690
O 0.0066 0.3399 0.4410
O 0.1703 0.1703 0.2340
O 0.1753 0.6736 0.2325
O 0.3129 0.3129 0.9399
O 0.3264 0.8247 0.7675
O 0.3267 0.3267 0.5591
O 0.3378 0.0022 0.0690
O 0.3399 0.0066 0.4410
O 0.6601 0.9934 0.5590
O 0.6622 0.9978 0.9310
O 0.6733 0.6733 0.4409
O 0.6736 0.1753 0.2325
O 0.6871 0.6871 0.0601
O 0.8247 0.3264 0.7675
O 0.8297 0.8297 0.7660
O 0.9934 0.6601 0.5590
O 0.9978 0.6622 0.9310

[10]
# Rb5GdMo4O16
Theoretical powder diffractogram, Cu Ka. Input: DFT lattice parameters and positions (GGA+U).
Kinematic intensities with the Lorentz-polarization factor, no thermal factor.

Largest 10 diffraction maxima, in order of rising 2θ, 2θ = 10–90°:
2θ 26.06, 3.419 Å, rel. 100; 2θ 26.32, 3.386 Å, rel. 51; 2θ 27.94, 3.193 Å, rel. 96; 2θ 28.45, 3.137 Å, rel. 47; 2θ 37.99, 2.368 Å, rel. 24; 2θ 39.14, 2.301 Å, rel. 34; 2θ 45.10, 2.010 Å, rel. 25; 2θ 48.94, 1.861 Å, rel. 18; 2θ 50.06, 1.822 Å, rel. 18; 2θ 62.33, 1.490 Å, rel. 20

Lattice parameters (Å, degrees): 8.2099 6.2748 10.2484 90.00 106.75 90.00
Atoms (fractional coordinates):
Rb 0.0000 0.0000 0.0000
Rb 0.1326 0.5000 0.7062
Rb 0.3906 0.0000 0.8165
Rb 0.6094 0.0000 0.1835
Rb 0.8674 0.5000 0.2938
Gd 0.5000 0.5000 0.5000
Mo 0.2231 0.0000 0.3986
Mo 0.3000 0.5000 0.1117
Mo 0.7000 0.5000 0.8883
Mo 0.7769 0.0000 0.6014
O 0.0007 0.0000 0.6824
O 0.1085 0.5000 0.1602
O 0.2890 0.2433 0.4995
O 0.2890 0.7567 0.4995
O 0.3048 0.2717 0.0093
O 0.3048 0.7283 0.0093
O 0.3279 0.0000 0.2722
O 0.4815 0.5000 0.2699
O 0.5185 0.5000 0.7301
O 0.6721 0.0000 0.7278
O 0.6952 0.2717 0.9907
O 0.6952 0.7283 0.9907
O 0.7110 0.2433 0.5005
O 0.7110 0.7567 0.5005
O 0.8915 0.5000 0.8398
O 0.9993 0.0000 0.3176